# 1
For Tc2Pt3, a cell relaxed with PBE gives the computed X-ray diffraction stick pattern in this record (Cu Kα X-rays).

Top 10 peaks for 2θ = 10–90°, by intensity:
Position (°2θ)	Rel. int.	h k l
34.35	100	1 1 -2
40.23	99	3 1 1
42.13	71	5 1 -2
48.27	48	0 2 0
45.61	27	5 1 0
31.06	26	3 1 -1
36.50	21	2 0 -3
77.71	18	9 1 0
51.87	16	2 0 3
50.44	16	2 0 -4

Structure:
```
data_Tc2Pt3
_symmetry_space_group_name_H-M 'C 1 2/m 1'
_symmetry_Int_Tables_number 12
_cell_length_a 13.4740
_cell_length_b 3.7711
_cell_length_c 7.4628
_cell_angle_alpha 90.00
_cell_angle_beta 119.72
_cell_angle_gamma 90.00
loop_
_symmetry_equiv_pos_as_xyz
'x,y,z'
'-x,-y,-z'
'-x,y,-z'
'x,-y,z'
'x+1/2,y+1/2,z'
'-x+1/2,-y+1/2,-z'
'-x+1/2,y+1/2,-z'
'x+1/2,-y+1/2,z'
loop_
_atom_site_label
_atom_site_type_symbol
_atom_site_fract_x
_atom_site_fract_y
_atom_site_fract_z
Tc1 Tc 0.1827 0.0000 0.3773
Tc2 Tc 0.2357 0.5000 0.8795
Pt1 Pt 0.0638 0.0000 0.7604
Pt2 Pt 0.0929 0.5000 0.4824
Pt3 Pt 0.1118 0.5000 0.0781
```


# 2
For Zr2TlF8, a cell relaxed with PBE gives the computed X-ray diffraction stick pattern in this record (Cu Kα X-rays).

Top 10 peaks for 2θ = 10–90°, by intensity:
Position (°2θ)	Rel. int.	h k l
25.49	100	1 1 1
26.09	63	2 0 0
26.47	62	0 2 1
28.89	61	1 3 0
37.51	40	2 2 1
50.79	39	1 3 2
45.66	33	3 1 1
40.25	27	0 4 1
64.64	26	3 3 2
50.30	26	1 5 1

Structure:
```
data_Zr2TlF8
_symmetry_space_group_name_H-M 'C m m m'
_symmetry_Int_Tables_number 65
_symmetry_space_group_name_Hall '-C 2 2'
_cell_length_a 6.8311
_cell_length_b 10.3977
_cell_length_c 4.4192
_cell_angle_alpha 90.00
_cell_angle_beta 90.00
_cell_angle_gamma 90.00
loop_
_atom_site_label
_atom_site_type_symbol
_atom_site_fract_x
_atom_site_fract_y
_atom_site_fract_z
Zr1 Zr 0.0000 0.1783 0.0000
Tl1 Tl 0.0000 0.5000 0.5000
F1 F 0.0000 0.0000 0.2481
F2 F 0.0000 0.2259 0.5000
F3 F 0.1839 0.3558 0.0000
```


# 3
For CeNpSc2O8, a cell relaxed with PBE gives the computed X-ray diffraction stick pattern in this record (Cu Kα X-rays).

Top 10 peaks for 2θ = 10–90°, by intensity:
Position (°2θ)	Rel. int.	h k l
31.69	100	1 1 2
18.18	85	1 1 0
25.74	76	0 2 0
25.91	56	2 0 0
49.27	41	1 3 2
49.47	40	3 1 2
36.71	31	0 2 2
36.84	31	2 2 0
59.76	26	0 2 4
63.16	24	3 3 2

Structure:
```
data_CeNpSc2O8
_symmetry_space_group_name_H-M 'C m m m'
_symmetry_Int_Tables_number 65
_symmetry_space_group_name_Hall '-C 2 2'
_cell_length_a 6.8773
_cell_length_b 6.9226
_cell_length_c 6.9245
_cell_angle_alpha 90.00
_cell_angle_beta 90.00
_cell_angle_gamma 90.00
loop_
_atom_site_label
_atom_site_type_symbol
_atom_site_fract_x
_atom_site_fract_y
_atom_site_fract_z
Ce1 Ce 0.0000 0.0000 0.0000
Np1 Np 0.0000 0.0000 0.5000
Sc1 Sc 0.0000 0.5000 0.2446
O1 O 0.0000 0.1947 0.2687
O2 O 0.1846 0.5000 0.0000
O3 O 0.2024 0.5000 0.5000
```


# 4
For Ac3CuBr3, a cell relaxed with PBE gives the computed X-ray diffraction stick pattern in this record (Cu Kα X-rays).

Top 10 peaks for 2θ = 10–90°, by intensity:
Position (°2θ)	Rel. int.	h k l
28.12	100	4 0 0
40.18	74	4 4 0
65.80	30	8 4 0
49.76	26	4 4 4
26.27	25	3 2 1
24.29	22	2 2 2
73.03	22	8 4 4
33.10	14	3 3 2
53.01	12	7 2 1
58.13	12	8 0 0

Structure:
```
data_Ac3CuBr3
_symmetry_space_group_name_H-M 'I 41 3 2'
_symmetry_Int_Tables_number 214
_symmetry_space_group_name_Hall 'I 4bd 2c 3'
_cell_length_a 12.6948
_cell_length_b 12.6948
_cell_length_c 12.6948
_cell_angle_alpha 90.00
_cell_angle_beta 90.00
_cell_angle_gamma 90.00
loop_
_atom_site_label
_atom_site_type_symbol
_atom_site_fract_x
_atom_site_fract_y
_atom_site_fract_z
Ac1 Ac 0.1138 0.3638 0.1250
Cu1 Cu 0.1250 0.1250 0.1250
Br1 Br 0.1167 0.1333 0.6250
```


# 5
For ZnHS, a cell relaxed with PBE gives the computed X-ray diffraction stick pattern in this record (Cu Kα X-rays).

Top 10 peaks for 2θ = 10–90°, by intensity:
Position (°2θ)	Rel. int.	h k l
16.65	100	1 1 0
46.72	50	3 1 1
24.86	48	2 0 -1
26.99	44	1 1 -1
27.91	31	0 2 0
37.72	29	0 2 1
48.82	26	1 3 -1
47.30	21	4 2 0
18.44	21	2 0 0
31.20	19	3 1 0

Structure:
```
data_ZnHS
_symmetry_space_group_name_H-M 'C 1 2 1'
_symmetry_Int_Tables_number 5
_cell_length_a 10.3575
_cell_length_b 6.3924
_cell_length_c 3.8584
_cell_angle_alpha 90.00
_cell_angle_beta 111.73
_cell_angle_gamma 90.00
loop_
_symmetry_equiv_pos_as_xyz
'x,y,z'
'-x,y,-z'
'x+1/2,y+1/2,z'
'-x+1/2,y+1/2,-z'
loop_
_atom_site_label
_atom_site_type_symbol
_atom_site_fract_x
_atom_site_fract_y
_atom_site_fract_z
Zn1 Zn 0.1242 0.0000 0.1236
H1 H 0.1264 0.5303 0.1288
S1 S 0.2421 0.6498 0.2430
```


# 6
For TaNi2Rh2, a cell relaxed with PBE gives the computed X-ray diffraction stick pattern in this record (Cu Kα X-rays).

Top 10 peaks for 2θ = 10–90°, by intensity:
Position (°2θ)	Rel. int.	h k l
41.25	100	1 1 -2
47.84	32	0 2 0
84.59	24	1 3 -2
70.35	20	4 2 -3
48.31	16	4 0 -3
85.30	12	5 1 -5
27.82	11	1 1 -1
89.57	11	2 2 -4
69.98	10	2 2 1
20.94	8	0 0 1

Structure:
```
data_TaNi2Rh2
_symmetry_space_group_name_H-M 'C 1 2/m 1'
_symmetry_Int_Tables_number 12
_cell_length_a 8.4408
_cell_length_b 3.8025
_cell_length_c 5.9625
_cell_angle_alpha 90.00
_cell_angle_beta 134.63
_cell_angle_gamma 90.00
loop_
_symmetry_equiv_pos_as_xyz
'x,y,z'
'-x,-y,-z'
'-x,y,-z'
'x,-y,z'
'x+1/2,y+1/2,z'
'-x+1/2,-y+1/2,-z'
'-x+1/2,y+1/2,-z'
'x+1/2,-y+1/2,z'
loop_
_atom_site_label
_atom_site_type_symbol
_atom_site_fract_x
_atom_site_fract_y
_atom_site_fract_z
Ta1 Ta 0.0000 0.0000 0.0000
Ni1 Ni 0.1939 0.0000 0.5932
Rh1 Rh 0.0892 0.5000 0.7888
```